NaMn2O4: calculated X-ray powder pattern (Cu Kα (weighted mean of Kα1 and Kα2)), based on DFT lattice parameters and positions (PBE+U).

Cell and atoms:
Cell: 3.0155 5.1529 5.8620 Å, 106.94 91.06 93.36°
Fractional coordinates of all 7 atoms:
Na (0.0000, 0.0000, 0.0000)
Mn (0.0000, 0.5000, 0.5000)
Mn (0.5000, 0.0000, 0.5000)
O (0.0254, 0.2161, 0.6754)
O (0.4641, 0.7510, 0.6900)
O (0.5359, 0.2490, 0.3100)
O (0.9746, 0.7839, 0.3246)

Top 10 peaks for 2θ = 5–70°, by intensity:
d (Å)	I_rel
5.604	100
2.285	24
2.194	21
2.140	20
1.626	11
2.802	10
2.646	7
1.529	6
1.643	6
1.504	6

***

Na7Mn16O32: calculated X-ray powder pattern (Cu Kα (weighted mean of Kα1 and Kα2)), based on DFT lattice parameters and positions (PBE+U).

Cell and atoms:
Cell: 8.6634 8.7876 10.4833 Å, 65.62 65.80 89.76°
Fractional coordinates of all 55 atoms:
Na (0.0000, 0.0000, 0.0000)
Na (0.1117, 0.6260, 0.2572)
Na (0.2482, 0.7476, 0.5032)
Na (0.3672, 0.3679, 0.7623)
Na (0.4954, 0.5033, 0.0047)
Na (0.6164, 0.1227, 0.2566)
Na (0.7453, 0.2462, 0.5111)
Mn (0.0543, 0.3137, 0.6302)
Mn (0.0554, 0.3143, 0.1349)
Mn (0.1756, 0.1901, 0.3836)
Mn (0.1810, 0.6888, 0.8769)
Mn (0.3036, 0.0596, 0.6294)
Mn (0.3096, 0.0525, 0.1357)
Mn (0.4298, 0.4408, 0.3803)
Mn (0.4370, 0.9258, 0.8813)
Mn (0.5571, 0.8024, 0.6364)
Mn (0.5633, 0.8034, 0.1192)
Mn (0.6839, 0.6857, 0.3808)
Mn (0.6851, 0.1791, 0.8810)
Mn (0.8048, 0.5668, 0.6403)
Mn (0.8132, 0.5736, 0.1214)
Mn (0.9346, 0.9306, 0.3870)
Mn (0.9361, 0.4444, 0.8784)
O (0.0288, 0.5341, 0.6483)
O (0.0433, 0.5851, 0.0980)
O (0.0741, 0.0449, 0.1599)
O (0.0774, 0.0969, 0.6177)
O (0.1545, 0.4544, 0.8996)
O (0.1576, 0.3971, 0.4092)
O (0.2006, 0.9838, 0.3612)
O (0.2137, 0.9218, 0.8569)
O (0.2680, 0.3000, 0.1568)
O (0.2847, 0.3258, 0.6084)
O (0.3248, 0.7962, 0.6546)
O (0.3479, 0.8156, 0.1057)
O (0.3961, 0.2049, 0.4003)
O (0.4165, 0.7127, 0.8660)
O (0.4427, 0.1389, 0.8967)
O (0.4670, 0.6769, 0.3530)
O (0.5299, 0.0225, 0.6480)
O (0.5552, 0.0358, 0.1075)
O (0.5737, 0.5673, 0.1482)
O (0.5825, 0.5798, 0.6465)
O (0.6495, 0.9171, 0.8959)
O (0.6654, 0.8896, 0.4143)
O (0.7056, 0.4814, 0.3459)
O (0.7240, 0.4449, 0.8638)
O (0.7839, 0.7905, 0.1205)
O (0.7951, 0.8000, 0.6187)
O (0.8120, 0.3280, 0.6561)
O (0.8375, 0.3510, 0.1092)
O (0.8972, 0.6905, 0.4135)
O (0.9282, 0.2271, 0.8631)
O (0.9484, 0.6629, 0.8865)
O (0.9600, 0.1698, 0.3657)

Top 10 peaks for 2θ = 5–70°, by intensity:
d (Å)	I_rel
4.989	100
5.034	39
2.609	28
2.197	26
2.166	26
2.134	24
2.583	19
2.631	19
1.666	13
2.642	12

***

Na6Mn7O10: calculated X-ray powder pattern (Cu Kα (weighted mean of Kα1 and Kα2)), based on DFT lattice parameters and positions (PBE+U).

Cell and atoms:
Cell: 11.3381 11.3381 8.7061 Å, 107.50 107.50 17.89°
Fractional coordinates of all 23 atoms:
Na (0.0000, 0.0000, 0.0000)
Na (0.0084, 0.0084, 0.3496)
Na (0.1342, 0.1342, 0.9171)
Na (0.3021, 0.3021, 0.5755)
Na (0.7254, 0.7254, 0.8259)
Na (0.9008, 0.9008, 0.4364)
Mn (0.1642, 0.1642, 0.4565)
Mn (0.3658, 0.3658, 0.1436)
Mn (0.4574, 0.4574, 0.7119)
Mn (0.5728, 0.5728, 0.6493)
Mn (0.6113, 0.6113, 0.1378)
Mn (0.7581, 0.7581, 0.2606)
Mn (0.8585, 0.8585, 0.8756)
O (0.0900, 0.0900, 0.2350)
O (0.1242, 0.1242, 0.6455)
O (0.3091, 0.3091, 0.8787)
O (0.3187, 0.3187, 0.3141)
O (0.4821, 0.4821, 0.5008)
O (0.5463, 0.5463, 0.8823)
O (0.6876, 0.6876, 0.0547)
O (0.7192, 0.7192, 0.4627)
O (0.9059, 0.9059, 0.7109)
O (0.9139, 0.9139, 0.1229)

Top 10 peaks for 2θ = 5–70°, by intensity:
d (Å)	I_rel
2.732	100
3.094	83
1.837	83
1.762	78
2.305	78
5.754	77
2.168	62
2.800	60
2.100	54
2.694	45

***

Na2Mn2O3: calculated X-ray powder pattern (Cu Kα (weighted mean of Kα1 and Kα2)), based on DFT lattice parameters and positions (PBE+U).

Cell and atoms:
Cell: 6.4874 6.4874 9.4665 Å, 90.00 90.00 90.00°
Fractional coordinates of all 28 atoms:
Na (0.0206, 0.2416, 0.3627)
Na (0.2416, 0.0206, 0.6373)
Na (0.2584, 0.5206, 0.1127)
Na (0.4794, 0.7416, 0.3873)
Na (0.5206, 0.2584, 0.8873)
Na (0.7416, 0.4794, 0.6127)
Na (0.7584, 0.9794, 0.1373)
Na (0.9794, 0.7584, 0.8627)
Mn (0.0410, 0.2531, 0.8856)
Mn (0.2469, 0.5410, 0.6356)
Mn (0.2531, 0.0410, 0.1144)
Mn (0.4590, 0.7531, 0.8644)
Mn (0.5410, 0.2469, 0.3644)
Mn (0.7469, 0.9590, 0.6144)
Mn (0.7531, 0.4590, 0.1356)
Mn (0.9590, 0.7469, 0.3856)
O (0.9998, 0.2553, 0.1054)
O (0.0002, 0.7447, 0.6054)
O (0.1899, 0.8101, 0.2500)
O (0.2447, 0.4998, 0.8554)
O (0.2553, 0.9998, 0.8946)
O (0.3101, 0.3101, 0.5000)
O (0.4998, 0.2447, 0.1446)
O (0.5002, 0.7553, 0.6446)
O (0.6899, 0.6899, 0.0000)
O (0.7447, 0.0002, 0.3946)
O (0.7553, 0.5002, 0.3554)
O (0.8101, 0.1899, 0.7500)

Top 10 peaks for 2θ = 5–70°, by intensity:
d (Å)	I_rel
2.676	100
2.294	63
4.128	61
1.647	43
2.367	34
5.351	22
1.622	18
1.387	16
2.474	13
1.419	12

***

NaMn3O6: calculated X-ray powder pattern (Cu Kα (weighted mean of Kα1 and Kα2)), based on DFT lattice parameters and positions (PBE+U).

Cell and atoms:
Cell: 6.1770 6.1770 14.5291 Å, 95.73 95.73 55.78°
Fractional coordinates of all 40 atoms:
Na (0.2016, 0.2644, 0.4404)
Na (0.2644, 0.2016, 0.9404)
Na (0.7356, 0.7984, 0.0596)
Na (0.7984, 0.7356, 0.5596)
Mn (0.1037, 0.8541, 0.9070)
Mn (0.1422, 0.3933, 0.7352)
Mn (0.1459, 0.8963, 0.5930)
Mn (0.3620, 0.6149, 0.4078)
Mn (0.3851, 0.6380, 0.0922)
Mn (0.3933, 0.1422, 0.2352)
Mn (0.6067, 0.8578, 0.7648)
Mn (0.6149, 0.3620, 0.9078)
Mn (0.6380, 0.3851, 0.5922)
Mn (0.8541, 0.1037, 0.4070)
Mn (0.8578, 0.6067, 0.2648)
Mn (0.8963, 0.1459, 0.0930)
O (0.0313, 0.2965, 0.1837)
O (0.0346, 0.7802, 0.4724)
O (0.0532, 0.8138, 0.1427)
O (0.1862, 0.9468, 0.3573)
O (0.2134, 0.4635, 0.3162)
O (0.2198, 0.9654, 0.0276)
O (0.2843, 0.5347, 0.9744)
O (0.2963, 0.5524, 0.6411)
O (0.2965, 0.0313, 0.6837)
O (0.4476, 0.7037, 0.8589)
O (0.4635, 0.2134, 0.8162)
O (0.4653, 0.7158, 0.5256)
O (0.5347, 0.2843, 0.4744)
O (0.5365, 0.7866, 0.1838)
O (0.5524, 0.2963, 0.1411)
O (0.7035, 0.9687, 0.3163)
O (0.7037, 0.4476, 0.3589)
O (0.7158, 0.4653, 0.0256)
O (0.7802, 0.0346, 0.9724)
O (0.7866, 0.5365, 0.6838)
O (0.8138, 0.0532, 0.6427)
O (0.9468, 0.1862, 0.8573)
O (0.9654, 0.2198, 0.5276)
O (0.9687, 0.7035, 0.8163)

Top 10 peaks for 2θ = 5–70°, by intensity:
d (Å)	I_rel
4.593	100
2.477	44
2.859	44
1.885	42
3.175	37
4.119	31
2.305	30
2.712	27
5.425	27
2.489	24

***

Na2MnO3: calculated X-ray powder pattern (Cu Kα (weighted mean of Kα1 and Kα2)), based on DFT lattice parameters and positions (PBE+U).

Cell and atoms:
Cell: 5.2907 5.2907 5.6991 Å, 99.19 99.19 120.03°
Fractional coordinates of all 12 atoms:
Na (0.0000, 0.0000, 0.0000)
Na (0.1615, 0.8385, 0.5000)
Na (0.5000, 0.5000, 0.5000)
Na (0.8385, 0.1615, 0.5000)
Mn (0.3359, 0.6641, 0.0000)
Mn (0.6641, 0.3359, 0.0000)
O (0.0650, 0.4467, 0.1998)
O (0.3081, 0.3081, 0.7991)
O (0.4467, 0.0650, 0.1998)
O (0.5533, 0.9350, 0.8002)
O (0.6919, 0.6919, 0.2009)
O (0.9350, 0.5533, 0.8002)

Top 10 peaks for 2θ = 5–70°, by intensity:
d (Å)	I_rel
2.209	100
5.400	61
2.225	51
1.612	28
2.519	26
1.527	25
2.700	18
4.397	17
1.599	14
4.003	13